Calculated powder diffraction line list
Compound: Ti11Fe13O36
Radiation: λ = 1.5418 Å (Cu Kα)
Structure: the PBE+U geometry in the Materials Project
Peak positions follow from Bragg's law for the DFT cell and can differ from measured ones.

Most intense lines, 2θ from 10° to 80°, in order of rising 2θ:
- (1 -2 0), 3.769 Å, 23.61°, I = 29
- (1 2 -2), 2.795 Å, 32.02°, I = 48
- (2 0 1), 2.782 Å, 32.18°, I = 48
- (-1 2 3), 2.755 Å, 32.49°, I = 46
- (1 2 4), 2.582 Å, 34.74°, I = 100
- (2 0 7), 1.491 Å, 62.28°, I = 46

a = 5.5952 Å, b = 10.3291 Å, c = 11.7103 Å
α = 77.69°, β = 82.01°, γ = 89.22°
Space group P1 (No. 1)
Inequivalent atoms, fractional coordinates:
Ti (0.0000, 0.0000, 0.0000) x1
Ti (0.9995, 0.5004, 0.9995) x1
Ti (0.0088, 0.2162, 0.1359) x1
Ti (0.0178, 0.7152, 0.1379) x1
Ti (0.3271, 0.1724, 0.3290) x1
Ti (0.3373, 0.8877, 0.4655) x1
Ti (0.3441, 0.3766, 0.4741) x1
Ti (0.6608, 0.8355, 0.6718) x1
Ti (0.6764, 0.5520, 0.8076) x1
Ti (0.6848, 0.0554, 0.8037) x1
Ti (0.8429, 0.6315, 0.4727) x1
Fe (0.1646, 0.5853, 0.6634) x1
Fe (0.1665, 0.0817, 0.6635) x1
Fe (0.1716, 0.3001, 0.8035) x1
Fe (0.1779, 0.7986, 0.8073) x1
Fe (0.3326, 0.6691, 0.3328) x1
Fe (0.4979, 0.2529, 0.9961) x1
Fe (0.5009, 0.7546, 0.9992) x1
Fe (0.5073, 0.4690, 0.1398) x1
Fe (0.5117, 0.9643, 0.1410) x1
Fe (0.6554, 0.3333, 0.6664) x1
Fe (0.8301, 0.9178, 0.3325) x1
Fe (0.8348, 0.1355, 0.4736) x1
Fe (0.8364, 0.4215, 0.3300) x1
O (0.0106, 0.4731, 0.8441) x1
O (0.0219, 0.9694, 0.8455) x1
O (0.0930, 0.9960, 0.4081) x1
O (0.1090, 0.5011, 0.4116) x1
O (0.1410, 0.1705, 0.9741) x1
O (0.1425, 0.6694, 0.9733) x1
O (0.1805, 0.7176, 0.4949) x1
O (0.1916, 0.2144, 0.4978) x1
O (0.2361, 0.3882, 0.0610) x1
O (0.2366, 0.8880, 0.0640) x1
O (0.3177, 0.4151, 0.6251) x1
O (0.3307, 0.9114, 0.6229) x1
O (0.3523, 0.1411, 0.1756) x1
O (0.3521, 0.6389, 0.1733) x1
O (0.4362, 0.6641, 0.7429) x1
O (0.4423, 0.1609, 0.7400) x1
O (0.4705, 0.3400, 0.3080) x1
O (0.4845, 0.8467, 0.3086) x1
O (0.5301, 0.3837, 0.8285) x1
O (0.5397, 0.8801, 0.8284) x1
O (0.5553, 0.0549, 0.3991) x1
O (0.5956, 0.5633, 0.4066) x1
O (0.6552, 0.0769, 0.9610) x1
O (0.6549, 0.5815, 0.9588) x1
O (0.6788, 0.3078, 0.5019) x1
O (0.6899, 0.7864, 0.5128) x1
O (0.7715, 0.3334, 0.0752) x1
O (0.7796, 0.8296, 0.0750) x1
O (0.8081, 0.5194, 0.6231) x1
O (0.8130, 0.0002, 0.6379) x1
O (0.8650, 0.0480, 0.1630) x1
O (0.8669, 0.5460, 0.1653) x1
O (0.9008, 0.7195, 0.7301) x1
O (0.9090, 0.2157, 0.7323) x1
O (0.9833, 0.7391, 0.2966) x1
O (0.9937, 0.2437, 0.2916) x1

=====

Calculated powder diffraction line list
Compound: Y2MgMo2Cl2O8
Radiation: λ = 1.5418 Å (Cu Kα)
Structure: the PBE+U geometry in the Materials Project
Peak positions follow from Bragg's law for the DFT cell and can differ from measured ones.

Most intense lines, 2θ from 10° to 80°, in order of rising 2θ:
- (1 0 0), 5.847 Å, 15.15°, I = 47
- (1 -1 0), 3.570 Å, 24.94°, I = 100
- (1 1 -1), 3.482 Å, 25.58°, I = 75
- (2 1 1), 3.183 Å, 28.03°, I = 42
- (1 0 2), 3.131 Å, 28.51°, I = 54
- (1 2 2), 2.693 Å, 33.27°, I = 60

a = 6.4877 Å, b = 6.5020 Å, c = 6.9679 Å
α = 73.34°, β = 73.30°, γ = 66.68°
Space group P1 (No. 1)
Inequivalent atoms, fractional coordinates:
Y (0.0000, 0.0000, 0.0000) x1
Y (0.4765, 0.4764, 0.7842) x1
Mg (0.5455, 0.9300, 0.3914) x1
Mo (0.5880, 0.6046, 0.1595) x1
Mo (0.8708, 0.8889, 0.6246) x1
Cl (0.2818, 0.1935, 0.1408) x1
Cl (0.2833, 0.1927, 0.6438) x1
O (0.1119, 0.7296, 0.7600) x1
O (0.3282, 0.7021, 0.0451) x1
O (0.4746, 0.6241, 0.4345) x1
O (0.6829, 0.7178, 0.6640) x1
O (0.7479, 0.3644, 0.0233) x1
O (0.7578, 0.7938, 0.1201) x1
O (0.7737, 0.1481, 0.7389) x1
O (0.8503, 0.0022, 0.3496) x1